Calculated powder X-ray diffraction pattern
Compound: PrTlCdS3
Radiation: Cu Kα, 1.54184 Å
Structure: a structure optimized by DFT (PBE)
Peak positions follow from Bragg's law for the DFT cell and can differ from measured ones.

Peak list (10 most intense, 10 to 90 degrees two-theta, in order of rising 2θ)
d_spacing	2θ/deg	intensity	h k l
3.896	22.8	32	1 0 2
3.593	24.8	43	2 0 -1
3.383	26.3	100	1 1 1
3.230	27.6	25	1 0 -3
3.081	29.0	92	1 1 -2
2.773	32.3	35	2 0 2
2.749	32.6	25	2 1 -1
2.135	42.3	30	0 2 0
2.112	42.8	26	3 1 0
2.034	44.6	24	2 1 3

Structure:
abc: 7.3620 4.2696 10.1819
angles: 90.00 98.12 90.00
Space group P2_1/m (No. 11)
One atom of each set of equivalent atoms:
1 Pr 0.2466 0.2500 0.4269 x2
2 Tl 0.3606 0.7500 0.8207 x2
3 Cd 0.0543 0.7500 0.1255 x2
4 S 0.0211 0.2500 0.6405 x2
5 S 0.2229 0.2500 0.0743 x2
6 S 0.4770 0.7500 0.3527 x2

***

Calculated powder X-ray diffraction pattern
Compound: PrTlCdS3
Radiation: Cu Kα, 1.54184 Å
Structure: a structure optimized by DFT (PBE)
Peak positions follow from Bragg's law for the DFT cell and can differ from measured ones.

Peak list (10 most intense, 10 to 90 degrees two-theta, in order of rising 2θ)
d_spacing	2θ/deg	intensity	h k l
4.375	20.3	52	0 2 2
3.804	23.4	31	1 1 1
3.539	25.2	37	0 4 0
3.273	27.2	44	1 1 2
3.028	29.5	100	1 3 1
2.783	32.2	47	0 0 4
2.738	32.7	66	1 3 2
2.400	37.5	38	1 3 3
2.188	41.3	28	0 4 4
2.112	42.8	26	2 0 0

Structure:
abc: 4.2237 14.1557 11.1312
angles: 90.00 90.00 90.00
Space group Cmcm (No. 63)
One atom of each set of equivalent atoms:
1 Pr 0.0000 0.0000 0.0000 x4
2 Tl 0.0000 0.2563 0.2500 x4
3 Cd 0.0000 0.4585 0.7500 x4
4 S 0.0000 0.0675 0.7500 x4
5 S 0.0000 0.3688 0.5561 x8

***

Calculated powder X-ray diffraction pattern
Compound: PrTlCdSe3
Radiation: Cu Kα, 1.54184 Å
Structure: a structure optimized by DFT (PBE)
Peak positions follow from Bragg's law for the DFT cell and can differ from measured ones.

Peak list (10 most intense, 10 to 90 degrees two-theta, in order of rising 2θ)
d_spacing	2θ/deg	intensity	h k l
3.896	22.8	17	1 0 4
3.241	27.5	24	1 0 5
3.029	29.5	59	2 1 1
2.959	30.2	100	1 1 4
2.903	30.8	20	2 1 2
2.645	33.9	46	3 0 2
2.350	38.3	21	3 1 1
2.315	38.9	20	2 1 5
2.280	39.5	40	0 2 0
2.199	41.0	18	0 0 8

Structure:
abc: 8.3304 4.5599 17.5888
angles: 90.00 90.00 90.00
Space group Pnma (No. 62)
One atom of each set of equivalent atoms:
1 Pr 0.2339 0.2500 0.0401 x4
2 Tl 0.0505 0.2500 0.8009 x4
3 Cd 0.0942 0.2500 0.3446 x4
4 Se 0.0047 0.2500 0.5812 x4
5 Se 0.1275 0.7500 0.9421 x4
6 Se 0.2385 0.2500 0.2094 x4

***

Calculated powder X-ray diffraction pattern
Compound: PrTlCdTe3
Radiation: Cu Kα, 1.54184 Å
Structure: a structure optimized by DFT (PBE)
Peak positions follow from Bragg's law for the DFT cell and can differ from measured ones.

Peak list (10 most intense, 10 to 90 degrees two-theta, in order of rising 2θ)
d_spacing	2θ/deg	intensity	h k l
3.558	25.0	21	3 0 2
3.286	27.1	100	1 1 3
3.005	29.7	37	4 0 0
2.970	30.1	77	2 1 3
2.955	30.3	32	3 1 1
2.600	34.5	22	3 1 3
2.371	37.9	41	2 0 6
2.280	39.5	34	0 2 0
1.965	46.2	36	5 1 3
1.644	55.9	26	2 2 6

Structure:
abc: 12.0205 4.5604 15.4747
angles: 90.00 90.00 90.00
Space group Pnma (No. 62)
One atom of each set of equivalent atoms:
1 Pr 0.0084 0.2500 0.2473 x4
2 Tl 0.2364 0.7500 0.5105 x4
3 Cd 0.2431 0.2500 0.7170 x4
4 Te 0.0491 0.2500 0.6124 x4
5 Te 0.0675 0.7500 0.1081 x4
6 Te 0.2429 0.7500 0.8327 x4

***

Calculated powder X-ray diffraction pattern
Compound: PrY2Tl2Zn3Cd
Radiation: Cu Kα, 1.54184 Å
Structure: a structure optimized by DFT (PBE)
Peak positions follow from Bragg's law for the DFT cell and can differ from measured ones.

Peak list (10 most intense, 10 to 90 degrees two-theta, in order of rising 2θ)
d_spacing	2θ/deg	intensity	h k l
3.683	24.2	30	0 3 1
3.633	24.5	24	0 0 2
2.872	31.1	77	1 3 1
2.848	31.4	36	1 0 2
2.627	34.1	47	1 4 0
2.603	34.5	100	1 2 2
2.294	39.3	49	2 0 0
2.138	42.3	34	0 6 0
2.107	42.9	24	0 3 3
1.377	68.1	30	3 2 2

Structure:
abc: 4.5878 12.8171 7.2662
angles: 90.00 90.00 90.00
Space group Amm2 (No. 38)
One atom of each set of equivalent atoms:
1 Pr 0.0000 0.0000 0.0000 x2
2 Y 0.0000 0.2129 0.6356 x4
3 Tl 0.5000 0.1705 0.9233 x4
4 Zn 0.5000 0.0000 0.6576 x2
5 Zn 0.5000 0.1145 0.3115 x4
6 Cd 0.0000 0.0000 0.4361 x2

***

Calculated powder X-ray diffraction pattern
Compound: PrTmCd6
Radiation: Cu Kα, 1.54184 Å
Structure: a structure optimized by DFT (PBE)
Peak positions follow from Bragg's law for the DFT cell and can differ from measured ones.

Peak list (10 most intense, 10 to 90 degrees two-theta, in order of rising 2θ)
d_spacing	2θ/deg	intensity	h k l
2.555	35.1	100	1 2 1
2.540	35.3	50	2 0 0
1.818	50.2	9	0 4 0
1.796	50.8	17	2 0 2
1.478	62.9	17	2 4 0
1.469	63.3	34	3 2 1
1.278	74.2	10	2 4 2
1.148	84.3	7	1 6 1
1.137	85.4	8	3 2 3
1.136	85.5	8	4 0 2

Structure:
abc: 5.0799 7.2720 5.0804
angles: 90.00 90.00 90.00
Space group Pmm2 (No. 25)
One atom of each set of equivalent atoms:
1 Pr 0.0000 0.0000 0.0000 x1
2 Tm 0.5000 0.5000 0.4934 x1
3 Cd 0.0000 0.2611 0.5009 x2
4 Cd 0.0000 0.5000 0.0009 x1
5 Cd 0.5000 0.0000 0.4949 x1
6 Cd 0.5000 0.2611 0.9929 x2

***

Calculated powder X-ray diffraction pattern
Compound: CdPt7
Radiation: Cu Kα, 1.54184 Å
Structure: a structure optimized by DFT (PBE)
Peak positions follow from Bragg's law for the DFT cell and can differ from measured ones.

Peak list (10 most intense, 10 to 90 degrees two-theta, in order of rising 2θ)
d_spacing	2θ/deg	intensity	h k l
2.321	38.8	100	1 0 11
2.253	40.0	52	1 0 12
1.999	45.4	50	1 1 0
1.945	46.7	14	0 0 23
1.426	65.5	13	1 1 22
1.413	66.1	17	2 0 0
1.394	67.1	19	1 1 23
1.207	79.4	26	2 1 11
1.197	80.2	14	2 1 12
1.193	80.5	14	1 0 34

Structure:
abc: 2.8270 2.8270 44.7383
angles: 90.00 90.00 90.00
Space group P4/nmm (No. 129, origin choice 2)
One atom of each set of equivalent atoms:
1 Cd 0.2500 0.2500 0.1663 x2
2 Pt 0.2500 0.2500 0.2582 x2
3 Pt 0.2500 0.2500 0.3456 x2
4 Pt 0.2500 0.2500 0.4338 x2
5 Pt 0.2500 0.2500 0.5221 x2
6 Pt 0.2500 0.2500 0.6104 x2
7 Pt 0.2500 0.2500 0.6981 x2
8 Pt 0.2500 0.2500 0.7868 x2

***

Calculated powder X-ray diffraction pattern
Compound: CdPt9
Radiation: Cu Kα, 1.54184 Å
Structure: a structure optimized by DFT (PBE)
Peak positions follow from Bragg's law for the DFT cell and can differ from measured ones.

Peak list (10 most intense, 10 to 90 degrees two-theta, in order of rising 2θ)
d_spacing	2θ/deg	intensity	h k l
2.387	37.7	27	0 1 14
2.291	39.3	100	1 1 0
2.283	39.5	73	0 1 15
2.060	44.0	18	1 0 14
1.992	45.5	46	1 0 15
1.960	46.3	32	0 2 0
1.397	67.0	29	1 2 15
1.201	79.8	18	2 1 15
1.198	80.1	19	1 1 30
1.185	81.2	12	0 3 15

Structure:
abc: 2.8249 3.9204 42.1400
angles: 90.00 90.00 90.00
Space group Pmmn (No. 59, origin choice 2)
One atom of each set of equivalent atoms:
1 Cd 0.2500 0.2500 0.1777 x2
2 Pt 0.2500 0.2500 0.2475 x2
3 Pt 0.2500 0.2500 0.3155 x2
4 Pt 0.2500 0.2500 0.3828 x2
5 Pt 0.2500 0.2500 0.4497 x2
6 Pt 0.2500 0.2500 0.5167 x2
7 Pt 0.2500 0.2500 0.5837 x2
8 Pt 0.2500 0.2500 0.6509 x2
9 Pt 0.2500 0.2500 0.7187 x2
10 Pt 0.2500 0.2500 0.7875 x2